Diffraction record for Cs2AlAuBr6. The powder X-ray diffraction pattern is theoretical, not measured: it uses a crystal structure in the Materials Project, relaxed with PBE and Cu Kα, 1.54184 Å.
No peak broadening, texture or thermal motion is included.

Cell and atoms:
a b c (Å): 10.922 10.922 10.922
angles (deg): 90.00 90.00 90.00
Space group Fm-3m (No. 225)
Asymmetric unit:
Cs 0.250 0.250 0.250 x8
Al 0.000 0.000 0.000 x4
Au 0.000 0.000 0.500 x4
Br 0.000 0.000 0.235 x24

Top 6 peaks for 10° ≤ 2θ ≤ 90°, sorted by position:
hkl	d/Å	two_theta	I_rel
2 2 0	3.862	23.03	55
2 2 2	3.153	28.31	57
4 0 0	2.730	32.80	100
4 2 2	2.229	40.46	24
4 4 0	1.931	47.07	70
8 4 0	1.221	78.30	29